The following is a computed powder X-ray diffraction pattern of RbH2I3O9. It was derived from a crystal structure in Alexandria, relaxed with GGA-PBE, using λ = 1.5418 Å (Cu Kα).
No peak broadening, texture or thermal motion is included.

a b c (Å): 7.6254 7.7826 8.3531
angles (deg): 77.50 85.12 83.56
Fractional positions:
Rb 0.0000 0.0000 0.0000
Rb 0.2814 0.6193 0.3089
H 0.1285 0.8611 0.6420
H 0.1656 0.3112 0.6818
H 0.5783 0.2140 0.4804
H 0.7078 0.4070 0.8229
I 0.3035 0.5113 0.8165
I 0.4893 0.1351 0.2339
I 0.5441 0.9299 0.8101
I 0.7497 0.6896 0.4841
I 0.7919 0.4899 0.0690
I 0.9787 0.1388 0.4714
O 0.0105 0.5628 0.0542
O 0.0519 0.3407 0.5076
O 0.1017 0.9897 0.6532
O 0.1870 0.6512 0.6472
O 0.2301 0.2881 0.7869
O 0.2702 0.0620 0.2503
O 0.3745 0.7803 0.9081
O 0.4535 0.3528 0.0968
O 0.4601 0.2377 0.4277
O 0.5243 0.4805 0.7183
O 0.5584 0.8525 0.4929
O 0.5929 0.0113 0.9907
O 0.6855 0.6112 0.3060
O 0.7389 0.7705 0.8096
O 0.7609 0.1494 0.5800
O 0.8238 0.3809 0.8785
O 0.8300 0.2710 0.2082
O 0.9185 0.8341 0.3824

Peak list (10 most intense, 10 to 80 degrees two-theta, low angle first)
two_theta  d_spacing  Rel. int.
21.43  4.146  40
24.20  3.678  69
25.29  3.522  100
25.50  3.493  35
26.62  3.348  42
27.37  3.259  30
28.02  3.184  49
29.60  3.018  48
29.87  2.991  43
51.94  1.761  26

---

The following is a computed powder X-ray diffraction pattern of Mg2InHg9. It was derived from a crystal structure in Alexandria, relaxed with GGA-PBE, using λ = 1.5418 Å (Cu Kα).
No peak broadening, texture or thermal motion is included.

a b c (Å): 4.4876 5.0834 13.1824
angles (deg): 90.00 90.00 90.00
Fractional positions:
Mg 0.0000 0.0000 0.1586
Mg 0.0000 0.0000 0.8414
In 0.0000 0.0000 0.5000
Hg 0.0000 0.5000 0.0000
Hg 0.0000 0.5000 0.3276
Hg 0.0000 0.5000 0.6724
Hg 0.5000 0.0000 0.0000
Hg 0.5000 0.0000 0.3185
Hg 0.5000 0.0000 0.6815
Hg 0.5000 0.5000 0.1619
Hg 0.5000 0.5000 0.5000
Hg 0.5000 0.5000 0.8381

Peak list (10 most intense, 10 to 80 degrees two-theta, low angle first)
two_theta  d_spacing  Rel. int.
33.55  2.671  100
35.31  2.542  22
40.19  2.244  16
41.08  2.197  15
54.56  1.682  13
55.27  1.662  12
62.26  1.491  17
68.82  1.364  13
70.07  1.343  11
70.51  1.336  11

---

The following is a computed powder X-ray diffraction pattern of Cr2H2Rh5. It was derived from a crystal structure in Alexandria, relaxed with GGA-PBE, using λ = 1.5418 Å (Cu Kα).
No peak broadening, texture or thermal motion is included.

a b c (Å): 4.7571 4.7571 6.1225
angles (deg): 97.71 97.71 47.21
Fractional positions:
Cr 0.0637 0.0637 0.2077
Cr 0.9363 0.9363 0.7923
H 0.2813 0.2813 0.3501
H 0.7187 0.7187 0.6499
Rh 0.2142 0.2142 0.6477
Rh 0.3663 0.3663 0.0700
Rh 0.5000 0.5000 0.5000
Rh 0.6337 0.6337 0.9300
Rh 0.7858 0.7858 0.3523

Peak list (10 most intense, 10 to 80 degrees two-theta, low angle first)
two_theta  d_spacing  Rel. int.
25.56  3.485  9
27.08  3.292  4
28.79  3.101  4
40.37  2.234  100
40.61  2.222  99
46.78  1.942  65
47.75  1.905  31
67.97  1.379  10
68.64  1.367  10
69.07  1.360  39

---

The following is a computed powder X-ray diffraction pattern of Er5Tl2. It was derived from a crystal structure in Alexandria, relaxed with GGA-PBE, using λ = 1.5418 Å (Cu Kα).
No peak broadening, texture or thermal motion is included.

a b c (Å): 8.5431 8.5431 9.2621
angles (deg): 100.32 100.32 36.54
Fractional positions:
Er 0.0188 0.5200 0.6731
Er 0.1112 0.6105 0.0369
Er 0.2502 0.7498 0.7500
Er 0.3895 0.8888 0.4631
Er 0.4800 0.9812 0.8269
Er 0.5200 0.0188 0.1731
Er 0.6105 0.1112 0.5369
Er 0.7498 0.2502 0.2500
Er 0.8888 0.3895 0.9631
Er 0.9812 0.4800 0.3269
Tl 0.1751 0.6758 0.3921
Tl 0.3242 0.8249 0.1079
Tl 0.6758 0.1751 0.8921
Tl 0.8249 0.3242 0.6079

Peak list (10 most intense, 10 to 80 degrees two-theta, low angle first)
two_theta  d_spacing  Rel. int.
32.57  2.749  100
33.48  2.676  99
47.37  1.919  24
47.48  1.915  12
57.53  1.602  16
59.28  1.559  37
59.86  1.545  19
68.23  1.375  10
78.12  1.223  9
79.64  1.204  11

---

Question: Which formula does entry 1 have?
Answer: RbH2I3O9